Theoretical PXRD pattern of Cr3Fe2O12 for copper Kα, from DFT lattice parameters and positions (PBE+U).

Structural model:
abc: 6.6844 8.4843 9.9825
angles: 108.07 104.89 103.41
Space group P-1 (No. 2)
Asymmetric unit:
Cr 0.1019 0.2578 0.1353
Cr 0.2808 0.3382 0.7467
Cr 0.3717 0.8878 0.6597
Fe 0.1299 0.0466 0.3949
Fe 0.4459 0.7912 0.9820
O 0.0408 0.2142 0.7375
O 0.0792 0.1469 0.2490
O 0.1534 0.7884 0.9857
O 0.1616 0.9487 0.5701
O 0.2074 0.4639 0.2367
O 0.2662 0.1961 0.0415
O 0.2840 0.2807 0.5717
O 0.3081 0.5506 0.8186
O 0.3107 0.6808 0.5848
O 0.4015 0.0142 0.3635
O 0.4182 0.9459 0.8498
O 0.4811 0.2962 0.8549

Main lines, by angle (10° ≤ 2θ ≤ 90°):
h k l	two_theta	I_rel
0 1 0	11.7	88.3
1 0 -1	14.4	42.4
0 1 1	18.1	34.1
1 1 -2	21.8	19.8
0 2 0	23.5	22.7
-1 1 2	24.8	23.8
2 0 -1	27.4	62.4
0 1 -3	27.7	100.0
1 -2 2	27.9	43.0
0 2 1	29.0	65.5